Starting from a GGA+U-relaxed structure, the PXRD pattern of SrCaFeP2O8 was calculated for Cu Kα (λ = 1.5418 Å).
Kinematic intensities with the Lorentz-polarization factor, no thermal factor.

The 10 most intense peaks (2θ = 15–90°), by angle:
hkl  d/Å  two_theta  I (rel.)
-1 1 1  4.080  21.78  24
0 2 -2  3.200  27.88  100
-1 1 2  3.140  28.42  16
1 1 1  3.018  29.59  54
1 0 -3  2.912  30.70  48
2 0 -1  2.826  31.66  44
2 -1 0  2.751  32.55  27
-1 2 1  2.735  32.75  39
1 3 -1  1.968  46.12  18
0 1 4  1.863  48.89  20

Structural model:
```
data_SrCaFeP2O8
_cell_length_a 5.7248
_cell_length_b 6.9395
_cell_length_c 9.5963
_cell_angle_alpha 109.23
_cell_angle_beta 101.58
_cell_angle_gamma 98.75
_space_group_name_H-M_alt 'P 1'
_space_group_IT_number 1
_space_group_name_Hall 'P 1'
loop_
_atom_site_label
_atom_site_fract_x
_atom_site_fract_y
_atom_site_fract_z
Sr1 0.2324 0.1921 0.4402
Sr2 0.7676 0.8079 0.5598
Ca1 0.4893 0.5803 0.8363
Ca2 0.5107 0.4197 0.1637
Fe1 0.1346 0.8419 0.0587
Fe2 0.8654 0.1581 0.9413
P1 0.1166 0.5853 0.2809
P2 0.3384 0.0370 0.7996
P3 0.6616 0.9630 0.2004
P4 0.8834 0.4147 0.7191
O1 0.0801 0.4169 0.1165
O2 0.1106 0.4538 0.6602
O3 0.1286 0.9668 0.8687
O4 0.1643 0.8046 0.2705
O5 0.2330 0.0058 0.6320
O6 0.3503 0.5556 0.3800
O7 0.4608 0.0937 0.1879
O8 0.4763 0.2704 0.9036
O9 0.5237 0.7296 0.0964
O10 0.5392 0.9063 0.8121
O11 0.6497 0.4444 0.6200
O12 0.7670 0.9942 0.3680
O13 0.8357 0.1954 0.7295
O14 0.8714 0.0332 0.1313
O15 0.8894 0.5462 0.3398
O16 0.9199 0.5831 0.8835
```